Record 1
This entry pairs a crystal structure of Ba3Pr4S8 with its calculated powder diffraction line list. Radiation: Cu Kα X-rays. Structure: a crystal structure in Alexandria, relaxed with GGA-PBE.
Intensities are scaled so that the largest is 100.

Most intense lines, 15° ≤ 2θ ≤ 90°, in order of rising 2θ:
2θ (°)  I/Imax
25.13  46.8
25.61  43.9
29.34  100.0
29.46  49.5
41.40  18.5
41.97  36.2
42.09  36.1
42.64  17.6
51.57  19.1
52.63  18.6

Cell and atoms:
```
15
Lattice="6.067 -6.080 0.000 6.067 6.080 0.000 -5.895 0.000 6.099" Properties=species:S:1:pos:R:3 pbc="T T T"
Ba 0.000 0.000 0.000
Ba 3.034 3.040 0.000
Ba 3.034 -3.040 0.000
Pr 0.086 3.040 3.049
Pr 0.086 -3.040 3.049
Pr 6.067 0.000 0.000
Pr 3.120 0.000 3.049
S 6.067 2.924 0.000
S 3.120 2.890 3.049
S 0.198 0.000 3.159
S 3.198 0.000 0.204
S 3.042 0.000 5.894
S 6.042 0.000 2.940
S 3.120 -2.890 3.049
S 6.067 -2.924 0.000
```

Record 2
This entry pairs a crystal structure of Rb5ZrSe5 with its calculated powder diffraction line list. Radiation: Cu Kα X-rays. Structure: a crystal structure in Alexandria, relaxed with GGA-PBE.
Intensities are scaled so that the largest is 100.

Most intense lines, 15° ≤ 2θ ≤ 90°, in order of rising 2θ:
2θ (°)  I/Imax
15.11  33.5
26.06  67.7
27.14  87.0
27.90  100.0
33.57  19.9
33.68  21.3
38.54  47.0
39.21  19.4
39.32  63.1
48.81  20.4

Cell and atoms:
```
11
Lattice="7.788 -3.198 0.000 7.788 3.198 0.000 -3.063 0.000 8.672" Properties=species:S:1:pos:R:3 pbc="T T T"
Rb 0.000 0.000 0.000
Rb 4.134 0.000 1.685
Rb 3.108 0.000 5.681
Rb 9.405 0.000 2.991
Rb 8.379 0.000 6.987
Zr -1.532 0.000 4.336
Se 0.854 0.000 3.158
Se -0.310 0.000 6.751
Se 6.256 0.000 4.336
Se 12.823 0.000 1.921
Se 11.659 0.000 5.514
```

Record 3
This entry pairs a crystal structure of PrNd2DyY with its calculated powder diffraction line list. Radiation: Cu Kα X-rays. Structure: a crystal structure in Alexandria, relaxed with GGA-PBE.
Intensities are scaled so that the largest is 100.

Most intense lines, 15° ≤ 2θ ≤ 90°, in order of rising 2θ:
2θ (°)  I/Imax
25.22  25.6
28.31  38.8
28.51  28.3
29.03  100.0
30.54  28.7
31.79  45.5
33.31  35.6
38.09  34.6
45.88  31.1
54.62  29.4

Cell and atoms:
```
10
Lattice="8.254 0.000 0.000 0.000 6.821 0.000 -0.013 0.000 6.261" Properties=species:S:1:pos:R:3 pbc="T T T"
Pr 0.000 0.000 0.000
Pr -0.007 0.000 3.130
Nd 2.521 2.107 1.562
Nd 2.514 4.714 4.692
Nd 5.726 2.107 1.569
Nd 5.720 4.714 4.699
Dy 4.117 1.071 4.695
Dy 4.124 5.749 1.565
Y -0.010 2.865 4.695
Y -0.003 3.956 1.565
```

Record 4
This entry pairs a crystal structure of Zr2HgPd4 with its calculated powder diffraction line list. Radiation: Cu Kα X-rays. Structure: a crystal structure in Alexandria, relaxed with GGA-PBE.
Intensities are scaled so that the largest is 100.

Most intense lines, 15° ≤ 2θ ≤ 90°, in order of rising 2θ:
2θ (°)  I/Imax
23.24  61.8
32.39  42.8
33.79  59.9
37.72  57.4
38.15  46.5
43.59  100.0
46.46  69.9
61.63  45.0
79.04  27.8
84.15  29.7

Cell and atoms:
```
14
Lattice="3.909 0.000 0.000 0.000 3.909 0.000 0.000 0.000 18.871" Properties=species:S:1:pos:R:3 pbc="T T T"
Zr 0.000 0.000 2.629
Zr 0.000 0.000 16.242
Zr 1.954 1.954 6.806
Zr 1.954 1.954 12.065
Hg 0.000 0.000 9.436
Hg 1.954 1.954 0.000
Pd 0.000 0.000 6.787
Pd 0.000 0.000 12.084
Pd 0.000 1.954 4.718
Pd 0.000 1.954 14.153
Pd 1.954 0.000 4.718
Pd 1.954 0.000 14.153
Pd 1.954 1.954 2.648
Pd 1.954 1.954 16.223
```

Record 5
This entry pairs a crystal structure of LaCrIn4 with its calculated powder diffraction line list. Radiation: Cu Kα X-rays. Structure: a crystal structure in Alexandria, relaxed with GGA-PBE.
Intensities are scaled so that the largest is 100.

Most intense lines, 15° ≤ 2θ ≤ 90°, in order of rising 2θ:
2θ (°)  I/Imax
17.94  15.9
29.49  20.3
34.73  100.0
36.33  47.7
42.20  8.0
55.76  33.0
61.21  28.7
72.33  11.1
73.30  17.5
87.46  20.6

Cell and atoms:
```
6
Lattice="0.000 4.283 4.283 4.283 0.000 4.283 4.283 4.283 0.000" Properties=species:S:1:pos:R:3 pbc="T T T"
La 0.000 0.000 0.000
Cr 6.425 6.425 6.425
In 3.213 3.213 3.213
In 5.353 5.353 3.213
In 5.353 3.213 5.353
In 3.213 5.353 5.353
```

Record 6
This entry pairs a crystal structure of NpZn11Au with its calculated powder diffraction line list. Radiation: Cu Kα X-rays. Structure: a crystal structure in Alexandria, relaxed with GGA-PBE.
Intensities are scaled so that the largest is 100.

Most intense lines, 15° ≤ 2θ ≤ 90°, in order of rising 2θ:
2θ (°)  I/Imax
19.50  28.5
27.92  29.0
28.04  27.7
31.54  23.5
34.56  45.3
39.59  57.1
39.76  53.5
40.03  100.0
40.21  88.3
72.89  25.5

Cell and atoms:
```
13
Lattice="2.634 -6.346 0.000 2.634 6.346 0.000 -2.592 0.000 6.341" Properties=species:S:1:pos:R:3 pbc="T T T"
Np 0.000 0.000 0.000
Zn 0.030 2.267 2.229
Zn 1.317 3.173 0.000
Zn 2.647 -2.267 4.112
Zn 0.072 1.381 4.996
Zn 0.030 -2.267 2.229
Zn 2.605 1.381 1.344
Zn 1.317 -3.173 0.000
Zn 1.338 0.000 3.170
Zn 0.072 -1.381 4.996
Zn 2.647 2.267 4.112
Zn 2.605 -1.381 1.344
Au -1.296 0.000 3.170
```

Record 7
This entry pairs a crystal structure of K12I3O4 with its calculated powder diffraction line list. Radiation: Cu Kα X-rays. Structure: a crystal structure in Alexandria, relaxed with GGA-PBE.
Intensities are scaled so that the largest is 100.

Most intense lines, 15° ≤ 2θ ≤ 90°, in order of rising 2θ:
2θ (°)  I/Imax
20.18  17.2
23.34  30.6
28.69  100.0
33.24  68.3
41.02  13.7
47.72  45.2
56.64  39.6
59.40  14.7
77.14  15.4
79.53  17.9

Cell and atoms:
```
19
Lattice="-5.390 5.390 5.390 5.390 -5.390 5.390 5.390 5.390 -5.390" Properties=species:S:1:pos:R:3 pbc="T T T"
K 5.390 -2.685 2.695
K 2.705 2.695 0.000
K 8.075 2.695 0.000
K 2.695 5.390 -2.685
K 2.695 0.000 2.705
K 5.390 2.685 2.695
K 0.000 2.705 2.695
K 2.695 5.390 2.685
K 2.695 0.000 8.075
K -2.685 2.695 5.390
K 2.685 2.695 5.390
K 0.000 8.075 2.695
I 5.390 0.000 0.000
I 0.000 5.390 0.000
I 0.000 0.000 5.390
O 2.695 2.695 -2.695
O 2.695 -2.695 2.695
O -2.695 2.695 2.695
O 2.695 2.695 2.695
```

Record 8
This entry pairs a crystal structure of RbNdSiO4 with its calculated powder diffraction line list. Radiation: Cu Kα X-rays. Structure: a crystal structure in Alexandria, relaxed with GGA-PBE.
Intensities are scaled so that the largest is 100.

Most intense lines, 15° ≤ 2θ ≤ 90°, in order of rising 2θ:
2θ (°)  I/Imax
22.19  100.0
24.04  24.2
28.68  45.6
29.47  46.8
31.12  48.4
32.04  23.5
34.53  23.9
36.12  34.9
38.02  23.8
45.27  28.5

Cell and atoms:
```
14
Lattice="5.809 0.000 0.000 0.000 5.747 0.000 -2.104 0.000 7.404" Properties=species:S:1:pos:R:3 pbc="T T T"
Rb 0.237 1.437 3.160
Rb 3.468 4.310 4.244
Nd -0.400 1.437 7.050
Nd 4.105 4.310 0.354
Si 1.170 4.310 1.207
Si 2.535 1.437 6.198
O -0.141 4.310 2.186
O -1.501 4.310 7.052
O 2.199 3.016 1.361
O 2.199 5.604 1.361
O 1.506 0.143 6.043
O 1.506 2.731 6.043
O 5.206 1.437 0.352
O 3.846 1.437 5.219
```

Record 9
This entry pairs a crystal structure of Pr12Nd6In with its calculated powder diffraction line list. Radiation: Cu Kα X-rays. Structure: a crystal structure in Alexandria, relaxed with GGA-PBE.
Intensities are scaled so that the largest is 100.

Most intense lines, 15° ≤ 2θ ≤ 90°, in order of rising 2θ:
2θ (°)  I/Imax
22.85  11.7
29.94  41.5
30.55  29.4
30.85  100.0
32.03  69.8
32.46  31.6
33.93  19.1
43.80  13.3
53.79  19.1
64.27  11.7

Cell and atoms:
```
19
Lattice="6.142 3.546 5.183 -6.142 3.546 5.183 0.000 -7.092 5.183" Properties=species:S:1:pos:R:3 pbc="T T T"
Pr -1.531 -5.481 6.485
Pr -5.512 -1.415 9.063
Pr -1.121 -1.792 4.885
Pr -3.981 4.066 6.485
Pr -0.991 1.866 4.885
Pr 2.112 -0.075 4.885
Pr -2.112 0.075 10.663
Pr 0.991 -1.866 10.663
Pr 3.981 -4.066 9.063
Pr 1.121 1.792 10.663
Pr 5.512 1.415 6.485
Pr 1.531 5.481 9.063
Nd -2.389 -2.523 8.106
Nd -3.379 0.808 7.442
Nd 0.990 -3.331 7.442
Nd -0.990 3.331 8.106
Nd 3.379 -0.808 8.106
Nd 2.389 2.523 7.442
In 0.000 0.000 7.774
```

Record 10
This entry pairs a crystal structure of Zr2Sc8Pa with its calculated powder diffraction line list. Radiation: Cu Kα X-rays. Structure: a crystal structure in Alexandria, relaxed with GGA-PBE.
Intensities are scaled so that the largest is 100.

Most intense lines, 15° ≤ 2θ ≤ 90°, in order of rising 2θ:
2θ (°)  I/Imax
15.03  33.6
15.31  63.0
20.93  28.4
23.51  27.1
33.71  38.9
34.35  83.8
34.94  58.2
35.48  100.0
36.40  52.5
37.41  27.2

Cell and atoms:
```
11
Lattice="6.174 0.000 0.000 0.000 4.937 0.000 -2.819 0.000 9.021" Properties=species:S:1:pos:R:3 pbc="T T T"
Zr 0.826 0.000 1.820
Zr 2.529 0.000 7.200
Sc -0.594 2.468 3.099
Sc -0.775 0.000 7.941
Sc 0.185 0.000 4.980
Sc 0.903 2.468 6.906
Sc 2.452 2.468 2.115
Sc 3.170 0.000 4.041
Sc 4.130 0.000 1.079
Sc 3.949 2.468 5.921
Pa 0.000 2.468 0.000
```

Record 11
This entry pairs a crystal structure of Er5Tm2Th4 with its calculated powder diffraction line list. Radiation: Cu Kα X-rays. Structure: a crystal structure in Alexandria, relaxed with GGA-PBE.
Intensities are scaled so that the largest is 100.

Most intense lines, 15° ≤ 2θ ≤ 90°, in order of rising 2θ:
2θ (°)  I/Imax
30.90  100.0
31.25  32.2
35.83  45.1
36.13  22.0
51.54  16.3
52.06  15.7
61.17  9.8
61.27  9.7
61.41  9.6
61.75  19.0

Cell and atoms:
```
11
Lattice="3.555 0.000 0.000 -0.006 8.587 0.000 -1.768 -2.966 11.253" Properties=species:S:1:pos:R:3 pbc="T T T"
Er 0.000 0.000 0.000
Er 0.006 -0.017 6.140
Er 0.002 5.624 8.181
Er 1.779 -0.003 3.072
Er 1.775 5.638 5.112
Tm -0.003 5.651 2.028
Tm 1.784 -0.030 9.225
Th -0.001 2.798 4.097
Th 0.005 2.770 10.224
Th 1.776 2.850 1.029
Th 1.782 2.823 7.156
```

Record 12
This entry pairs a crystal structure of Y8Er2In with its calculated powder diffraction line list. Radiation: Cu Kα X-rays. Structure: a crystal structure in Alexandria, relaxed with GGA-PBE.
Intensities are scaled so that the largest is 100.

Most intense lines, 15° ≤ 2θ ≤ 90°, in order of rising 2θ:
2θ (°)  I/Imax
17.40  22.0
31.99  92.6
32.32  100.0
33.59  91.2
43.92  17.4
48.24  33.0
56.43  15.2
59.11  15.5
59.37  34.4
64.33  26.4

Cell and atoms:
```
11
Lattice="5.097 -6.484 0.000 5.097 6.484 0.000 0.000 0.000 5.330" Properties=species:S:1:pos:R:3 pbc="T T T"
Y 1.721 0.000 0.000
Y 3.423 1.764 2.665
Y 5.097 3.259 0.000
Y 3.423 -1.764 2.665
Y 6.770 1.764 2.665
Y 5.097 -3.259 0.000
Y 6.770 -1.764 2.665
Y 8.473 0.000 0.000
Er 5.097 4.931 2.665
Er 5.097 -4.931 2.665
In 5.097 0.000 0.000
```